[1]
This entry pairs a crystal structure of Sn with its theoretical PXRD pattern. Radiation: Cu Kα. Structure: a DFT-relaxed cell (GGA-PBE, the Materials Project).
Kinematic intensities with the Lorentz-polarization factor, no thermal factor.

Atomic structure:
```
Sn
1.0
5.1705 -2.2627 0.0000
5.1705 2.2627 0.0000
-3.2662 0.0000 9.7735
Sn
8
direct
0.0000 0.0000 0.0000
0.0000 0.0000 0.5000
0.2479 0.2575 0.8777
0.2575 0.2479 0.3777
0.4945 0.5055 0.7500
0.5055 0.4945 0.2500
0.7425 0.7521 0.6223
0.7521 0.7425 0.1223
```

Peak list (12 most intense, 2θ from 10° to 90°, most intense first)
2θ (°)  I (rel.)
30.2  100
34.1  73
35.5  33
36.7  30
39.8  24
54.4  20
55.2  19
58.1  16
46.5  16
59.7  15
62.8  13
65.1  12



[2]
This entry pairs a crystal structure of Y5Ni2Te2 with its theoretical PXRD pattern. Radiation: Cu Kα. Structure: a DFT-relaxed cell (GGA-PBE, the Materials Project).
Kinematic intensities with the Lorentz-polarization factor, no thermal factor.

Atomic structure:
```
Y5Ni2Te2
1.0
2.0093 -7.5611 0.0000
2.0093 7.5611 0.0000
0.0000 0.0000 15.0352
Y Ni Te
10 4 4
direct
0.0400 0.9600 0.6233
0.0400 0.9600 0.8767
0.2588 0.7412 0.1275
0.2588 0.7412 0.3725
0.3950 0.6050 0.7500
0.6050 0.3950 0.2500
0.7412 0.2588 0.6275
0.7412 0.2588 0.8725
0.9600 0.0400 0.1233
0.9600 0.0400 0.3767
0.1853 0.8147 0.7500
0.4125 0.5875 0.2500
0.5875 0.4125 0.7500
0.8147 0.1853 0.2500
0.3846 0.6154 0.5397
0.3846 0.6154 0.9603
0.6154 0.3846 0.0397
0.6154 0.3846 0.4603
```

Peak list (12 most intense, 2θ from 10° to 90°, most intense first)
2θ (°)  I (rel.)
33.6  100
33.2  53
29.0  41
37.8  33
37.2  30
45.1  28
28.4  24
57.4  22
32.0  18
44.6  18
57.3  17
36.1  16



[3]
This entry pairs a crystal structure of SrSmB12 with its theoretical PXRD pattern. Radiation: Cu Kα. Structure: a DFT-relaxed cell (GGA-PBE, the Materials Project).
Kinematic intensities with the Lorentz-polarization factor, no thermal factor.

Atomic structure:
```
SrSmB12
1.0
4.1546 0.0000 0.0000
0.0000 4.1546 0.0000
0.0000 0.0000 8.3205
Sr Sm B
1 1 12
direct
0.0000 0.0000 0.0000
0.0000 0.0000 0.5000
0.2007 0.5000 0.2519
0.2007 0.5000 0.7481
0.5000 0.2007 0.2519
0.5000 0.2007 0.7481
0.5000 0.5000 0.1017
0.5000 0.5000 0.4006
0.5000 0.5000 0.5994
0.5000 0.5000 0.8983
0.5000 0.7993 0.2519
0.5000 0.7993 0.7481
0.7993 0.5000 0.2519
0.7993 0.5000 0.7481
```

Peak list (12 most intense, 2θ from 10° to 90°, most intense first)
2θ (°)  I (rel.)
30.4  100
21.4  56
49.0  49
37.5  43
67.6  27
54.0  25
43.5  22
87.9  17
71.8  14
75.9  12
10.6  11
63.3  9



[4]
This entry pairs a crystal structure of Te6IrCl3 with its theoretical PXRD pattern. Radiation: Cu Kα. Structure: a DFT-relaxed cell (GGA-PBE, the Materials Project).
Kinematic intensities with the Lorentz-polarization factor, no thermal factor.

Atomic structure:
```
Te6IrCl3
1.0
7.4531 4.3030 3.3195
-7.4531 4.3030 3.3195
0.0000 -8.6061 3.3195
Te Ir Cl
12 2 6
direct
0.0760 0.8244 0.8126
0.1756 0.1874 0.9240
0.1874 0.9240 0.1756
0.3126 0.3244 0.5760
0.3244 0.5760 0.3126
0.4240 0.6874 0.6756
0.5760 0.3126 0.3244
0.6756 0.4240 0.6874
0.6874 0.6756 0.4240
0.8126 0.0760 0.8244
0.8244 0.8126 0.0760
0.9240 0.1756 0.1874
0.2500 0.2500 0.2500
0.7500 0.7500 0.7500
0.0127 0.4873 0.7500
0.2500 0.9873 0.5127
0.4873 0.7500 0.0127
0.5127 0.2500 0.9873
0.7500 0.0127 0.4873
0.9873 0.5127 0.2500
```

Peak list (12 most intense, 2θ from 10° to 90°, most intense first)
2θ (°)  I (rel.)
11.9  100
30.8  96
44.3  34
48.9  22
22.6  19
39.3  19
52.9  13
36.2  12
43.8  11
76.9  10
51.0  9
74.9  8



[5]
This entry pairs a crystal structure of Cs3SmP2S8 with its theoretical PXRD pattern. Radiation: Cu Kα. Structure: a DFT-relaxed cell (GGA-PBE, the Materials Project).
Kinematic intensities with the Lorentz-polarization factor, no thermal factor.

Atomic structure:
```
Cs3SmP2S8
1.0
15.6528 0.0000 0.0000
0.0000 7.0233 0.0000
-12.9586 0.0000 15.5899
Cs Sm P S
12 4 8 32
direct
0.0635 0.2464 0.1104
0.0635 0.2536 0.6104
0.1553 0.2416 0.3783
0.1553 0.2584 0.8783
0.4171 0.7444 0.5249
0.4171 0.7556 0.0249
0.5829 0.2444 0.9751
0.5829 0.2556 0.4751
0.8447 0.7416 0.1217
0.8447 0.7584 0.6217
0.9365 0.7464 0.3896
0.9365 0.7536 0.8896
0.3534 0.7316 0.7299
0.3534 0.7684 0.2299
0.6466 0.2316 0.7701
0.6466 0.2684 0.2701
0.1932 0.7449 0.2749
0.1932 0.7551 0.7749
0.3489 0.2255 0.1313
0.3489 0.2745 0.6313
0.6511 0.7255 0.3687
0.6511 0.7745 0.8687
0.8068 0.2449 0.2251
0.8068 0.2551 0.7251
0.0941 0.7486 0.1433
0.0941 0.7514 0.6433
0.1157 0.7387 0.3251
0.1157 0.7613 0.8251
0.2442 0.5060 0.5747
0.2442 0.9940 0.0747
0.2560 0.0325 0.5987
0.2560 0.4675 0.0987
0.2916 0.5140 0.8138
0.2916 0.9860 0.3138
0.2964 0.5138 0.3122
0.2964 0.9862 0.8122
0.4440 0.2490 0.5945
0.4440 0.2510 0.0945
0.4590 0.1606 0.2606
0.4590 0.3394 0.7606
0.5410 0.6606 0.2394
0.5410 0.8394 0.7394
0.5560 0.7490 0.9055
0.5560 0.7510 0.4055
0.7036 0.0138 0.1878
0.7036 0.4862 0.6878
0.7084 0.0140 0.6862
0.7084 0.4860 0.1862
0.7440 0.5325 0.9013
0.7440 0.9675 0.4013
0.7558 0.0060 0.9253
0.7558 0.4940 0.4253
0.8843 0.2387 0.1749
0.8843 0.2613 0.6749
0.9059 0.2486 0.3567
0.9059 0.2514 0.8567
```

Peak list (12 most intense, 2θ from 10° to 90°, most intense first)
2θ (°)  I (rel.)
19.4  100
22.8  94
25.4  92
22.9  85
31.8  60
28.2  55
40.5  52
31.9  42
43.2  38
28.5  38
31.0  34
21.4  32